Record 1
Rb2ScP2S6: calculated XRD peak list (Cu Kα), based on DFT lattice parameters and positions (PBE).

Structure:
Unit cell a=11.802 b=6.840 c=7.887 alpha=90.00 beta=118.77 gamma=90.00
Space group C2/m (No. 12)
Symmetry-distinct sites (fractional):
Rb1 0.216 0.000 0.197 [4 per cell]
Sc1 0.000 0.000 0.500 [2 per cell]
P1 0.053 0.500 0.185 [4 per cell]
S1 0.033 0.251 0.777 [8 per cell]
S2 0.246 0.000 0.634 [4 per cell]

Largest 6 diffraction maxima, in order of rising 2θ, 2θ from 15° to 90°:
hkl 1 1 1, 2θ 22.69, rel. 56; hkl 0 0 2, 2θ 25.77, rel. 69; hkl 3 1 -1, 2θ 26.14, rel. 85; hkl 1 1 -2, 2θ 26.36, rel. 82; hkl 2 2 0, 2θ 31.36, rel. 72; hkl 2 2 -2, 2θ 35.07, rel. 100


Record 2
Rb3SmP2S8: calculated XRD peak list (Cu Kα), based on DFT lattice parameters and positions (PBE).

Structure:
Unit cell a=9.894 b=6.892 c=11.823 alpha=90.00 beta=90.68 gamma=90.00
Space group P2_1 (No. 4)
Symmetry-distinct sites (fractional):
Rb1 0.108 0.000 0.351 [2 per cell]
Rb2 0.145 0.494 0.097 [2 per cell]
Rb3 0.326 0.499 0.586 [2 per cell]
Sm1 0.384 0.978 0.853 [2 per cell]
P1 0.127 0.000 0.692 [2 per cell]
P2 0.415 0.022 0.154 [2 per cell]
S1 0.053 0.506 0.391 [2 per cell]
S2 0.145 0.755 0.793 [2 per cell]
S3 0.153 0.234 0.798 [2 per cell]
S4 0.238 0.997 0.062 [2 per cell]
S5 0.298 0.997 0.595 [2 per cell]
S6 0.410 0.256 0.261 [2 per cell]
S7 0.435 0.586 0.960 [2 per cell]
S8 0.446 0.777 0.249 [2 per cell]

Largest 6 diffraction maxima, in order of rising 2θ, 2θ from 15° to 90°:
hkl 0 1 2, 2θ 19.79, rel. 95; hkl 2 1 -1, 2θ 23.31, rel. 72; hkl 2 1 1, 2θ 23.45, rel. 72; hkl 0 2 0, 2θ 25.85, rel. 100; hkl 2 1 -3, 2θ 31.66, rel. 96; hkl 2 2 -1, 2θ 32.51, rel. 77